Theoretical powder diffraction line list
Compound: Mn3AgAs3H2O12
Radiation: Cu Kα (weighted mean of Kα1 and Kα2)
Structure: a structure optimized by DFT (GGA+U)
Peak positions follow from Bragg's law for the DFT cell and can differ from measured ones.

Principal peaks in the range 10° ≤ 2θ ≤ 90°, by angle:
d 8.590, I 86; d 4.015, I 52; d 3.214, I 53; d 3.084, I 42; d 2.863, I 100; d 2.807, I 88; d 2.775, I 45; d 2.702, I 77

Structural model:
```
Mn3AgAs3H2O12
1.0
6.3096 -6.4232 0.0000
6.3096 6.4232 0.0000
-2.8278 0.0000 6.4345
Mn Ag As H O
6 2 6 4 24
direct
0.1396 0.4576 0.8873 Mn
0.2126 0.7874 0.7500 Mn
0.4576 0.1396 0.3873 Mn
0.5424 0.8604 0.6127 Mn
0.7874 0.2126 0.2500 Mn
0.8604 0.5424 0.1127 Mn
0.4936 0.5064 0.2500 Ag
0.5064 0.4936 0.7500 Ag
0.1616 0.3957 0.3860 As
0.1817 0.8183 0.2500 As
0.3957 0.1616 0.8860 As
0.6043 0.8384 0.1140 As
0.8183 0.1817 0.7500 As
0.8384 0.6043 0.6140 As
0.0986 0.1287 0.7959 H
0.1287 0.0986 0.2959 H
0.8713 0.9014 0.7041 H
0.9014 0.8713 0.2041 H
0.0150 0.2142 0.7674 O
0.0452 0.2236 0.3323 O
0.0988 0.4779 0.1879 O
0.1679 0.5252 0.6229 O
0.2142 0.0150 0.2674 O
0.2191 0.7114 0.0291 O
0.2236 0.0452 0.8323 O
0.2886 0.7809 0.4709 O
0.3509 0.3515 0.4044 O
0.3515 0.3509 0.9044 O
0.4748 0.8321 0.8771 O
0.4779 0.0988 0.6879 O
0.5221 0.9012 0.3121 O
0.5252 0.1679 0.1229 O
0.6485 0.6491 0.0956 O
0.6491 0.6485 0.5956 O
0.7114 0.2191 0.5291 O
0.7764 0.9548 0.1677 O
0.7809 0.2886 0.9709 O
0.7858 0.9850 0.7326 O
0.8321 0.4748 0.3771 O
0.9012 0.5221 0.8121 O
0.9548 0.7764 0.6677 O
0.9850 0.7858 0.2326 O
```

---

Theoretical powder diffraction line list
Compound: AgMoAsO6
Radiation: Cu Kα (weighted mean of Kα1 and Kα2)
Structure: a structure optimized by DFT (GGA+U)
Peak positions follow from Bragg's law for the DFT cell and can differ from measured ones.

Principal peaks in the range 10° ≤ 2θ ≤ 90°, by angle:
d 3.669, I 58; d 3.118, I 100; d 2.906, I 72; d 2.796, I 34; d 2.224, I 29; d 1.782, I 17; d 1.662, I 18; d 1.467, I 16

Structural model:
```
AgMoAsO6
1.0
6.6490 0.0000 0.0000
0.0000 7.3385 0.0000
0.0000 0.0000 10.3318
Ag Mo As O
4 4 4 24
direct
0.0196 0.1944 0.4944 Ag
0.4804 0.8056 0.9944 Ag
0.5196 0.3056 0.5056 Ag
0.9804 0.6944 0.0056 Ag
0.2483 0.6987 0.3297 Mo
0.2517 0.3013 0.8297 Mo
0.7483 0.8013 0.6703 Mo
0.7517 0.1987 0.1703 Mo
0.2501 0.2871 0.1591 As
0.2499 0.7129 0.6591 As
0.7501 0.2129 0.8409 As
0.7499 0.7871 0.3409 As
0.0445 0.8578 0.6567 O
0.0449 0.1417 0.1585 O
0.2448 0.9158 0.3983 O
0.2457 0.4245 0.0251 O
0.2491 0.7483 0.1616 O
0.2502 0.4001 0.3042 O
0.2498 0.5999 0.8042 O
0.2509 0.2517 0.6616 O
0.2543 0.5755 0.5251 O
0.2552 0.0842 0.8983 O
0.4551 0.8583 0.6585 O
0.4555 0.1422 0.1567 O
0.5445 0.6422 0.3433 O
0.5449 0.3583 0.8415 O
0.7448 0.5842 0.6017 O
0.7457 0.0755 0.9749 O
0.7491 0.7517 0.8384 O
0.7502 0.0999 0.6958 O
0.7498 0.9001 0.1958 O
0.7509 0.2483 0.3384 O
0.7543 0.9245 0.4749 O
0.7552 0.4158 0.1017 O
0.9551 0.6417 0.3415 O
0.9555 0.3578 0.8433 O
```

---

Theoretical powder diffraction line list
Compound: VAg2AsO6
Radiation: Cu Kα (weighted mean of Kα1 and Kα2)
Structure: a structure optimized by DFT (GGA+U)
Peak positions follow from Bragg's law for the DFT cell and can differ from measured ones.

Principal peaks in the range 10° ≤ 2θ ≤ 90°, by angle:
d 3.234, I 100; d 2.955, I 81; d 2.922, I 65; d 2.879, I 53; d 2.692, I 26; d 2.663, I 79; d 2.636, I 24; d 1.634, I 28

Structural model:
```
VAg2AsO6
1.0
6.5357 0.0000 0.0000
-0.0041 6.5374 0.0000
-3.1688 -0.2107 6.4686
V Ag As O
2 4 2 12
direct
0.1171 0.0807 0.2244 V
0.8829 0.9193 0.7756 V
0.1133 0.3841 0.7417 Ag
0.3778 0.6272 0.2157 Ag
0.6222 0.3728 0.7843 Ag
0.8867 0.6159 0.2583 Ag
0.3419 0.8474 0.6912 As
0.6581 0.1526 0.3088 As
0.0089 0.7972 0.0095 O
0.1637 0.9955 0.7565 O
0.2105 0.2705 0.4025 O
0.2239 0.8120 0.4246 O
0.3911 0.6184 0.8126 O
0.4087 0.0104 0.2216 O
0.5913 0.9896 0.7784 O
0.6089 0.3816 0.1874 O
0.7761 0.1880 0.5754 O
0.7895 0.7295 0.5975 O
0.8363 0.0045 0.2435 O
0.9911 0.2028 0.9905 O
```

---

Theoretical powder diffraction line list
Compound: V2Ag6As2O13
Radiation: Cu Kα (weighted mean of Kα1 and Kα2)
Structure: a structure optimized by DFT (GGA+U)
Peak positions follow from Bragg's law for the DFT cell and can differ from measured ones.

Principal peaks in the range 10° ≤ 2θ ≤ 90°, by angle:
d 2.971, I 100; d 2.769, I 64; d 2.743, I 44; d 2.716, I 33; d 2.260, I 19; d 1.930, I 22; d 1.649, I 18; d 1.624, I 18

Structural model:
```
V2Ag6As2O13
1.0
9.6160 -2.7426 0.0000
9.6160 2.7426 0.0000
-5.2142 0.0000 12.1328
V Ag As O
4 12 4 26
direct
0.0650 0.1177 0.2747 V
0.1177 0.0650 0.7747 V
0.8823 0.9350 0.2253 V
0.9350 0.8823 0.7253 V
0.2768 0.3122 0.2942 Ag
0.2984 0.3056 0.0421 Ag
0.3056 0.2984 0.5421 Ag
0.3122 0.2768 0.7942 Ag
0.4735 0.5183 0.1108 Ag
0.4817 0.5265 0.3892 Ag
0.5183 0.4735 0.6108 Ag
0.5265 0.4817 0.8892 Ag
0.6878 0.7232 0.2058 Ag
0.6944 0.7016 0.4579 Ag
0.7016 0.6944 0.9579 Ag
0.7232 0.6878 0.7058 Ag
0.1220 0.1224 0.0445 As
0.1224 0.1220 0.5445 As
0.8776 0.8780 0.4555 As
0.8780 0.8776 0.9555 As
0.0260 0.8298 0.3788 O
0.0632 0.2885 0.8375 O
0.0661 0.7638 0.5810 O
0.1092 0.3192 0.6109 O
0.1357 0.8643 0.2500 O
0.1702 0.9740 0.1212 O
0.1954 0.5689 0.9711 O
0.2237 0.5753 0.7560 O
0.2362 0.9339 0.9190 O
0.2885 0.0632 0.3375 O
0.3192 0.1092 0.1109 O
0.4247 0.7763 0.7440 O
0.4311 0.8046 0.5289 O
0.5689 0.1954 0.4711 O
0.5753 0.2237 0.2560 O
0.6808 0.8908 0.8891 O
0.7115 0.9368 0.6625 O
0.7638 0.0661 0.0810 O
0.7763 0.4247 0.2440 O
0.8046 0.4311 0.0289 O
0.8298 0.0260 0.8788 O
0.8643 0.1357 0.7500 O
0.8908 0.6808 0.3891 O
0.9339 0.2362 0.4190 O
0.9368 0.7115 0.1625 O
0.9740 0.1702 0.6212 O
```

---

Theoretical powder diffraction line list
Compound: Ba2CoAg2Se2O2
Radiation: Cu Kα (weighted mean of Kα1 and Kα2)
Structure: a structure optimized by DFT (GGA+U)
Peak positions follow from Bragg's law for the DFT cell and can differ from measured ones.

Principal peaks in the range 10° ≤ 2θ ≤ 90°, by angle:
d 2.977, I 100; d 2.843, I 57; d 2.579, I 96; d 2.455, I 54; d 2.086, I 71; d 1.709, I 38; d 1.590, I 27; d 1.350, I 35

Structural model:
```
Ba2CoAg2Se2O2
1.0
-2.0862 2.0862 10.6252
2.0862 -2.0862 10.6252
2.0862 2.0862 -10.6252
Ba Co Ag Se O
2 1 2 2 2
direct
0.0880 0.0880 0.0000 Ba
0.9120 0.9120 0.0000 Ba
0.5000 0.5000 0.0000 Co
0.2500 0.7500 0.5000 Ag
0.7500 0.2500 0.5000 Ag
0.3366 0.3366 0.0000 Se
0.6634 0.6634 0.0000 Se
0.0000 0.5000 0.5000 O
0.5000 0.0000 0.5000 O
```

---

Theoretical powder diffraction line list
Compound: Cr2AgBiO8
Radiation: Cu Kα (weighted mean of Kα1 and Kα2)
Structure: a structure optimized by DFT (GGA+U)
Peak positions follow from Bragg's law for the DFT cell and can differ from measured ones.

Principal peaks in the range 10° ≤ 2θ ≤ 90°, by angle:
d 4.714, I 30; d 3.096, I 100; d 2.957, I 17; d 2.570, I 21; d 2.256, I 16; d 1.940, I 28; d 1.733, I 17; d 1.567, I 25

Structural model:
```
Cr2AgBiO8
1.0
-2.5698 2.5698 5.9131
2.5698 -2.5698 5.9131
2.5698 2.5698 -5.9131
Cr Ag Bi O
2 1 1 8
direct
0.0000 0.0000 0.0000 Cr
0.7500 0.2500 0.5000 Cr
0.5000 0.5000 0.0000 Ag
0.2500 0.7500 0.5000 Bi
0.0702 0.4555 0.8754 O
0.1607 0.0417 0.3627 O
0.2020 0.8393 0.8811 O
0.5445 0.4199 0.6148 O
0.5801 0.1949 0.1246 O
0.6791 0.7980 0.6373 O
0.8051 0.9298 0.3852 O
0.9583 0.3209 0.1189 O
```

---

Theoretical powder diffraction line list
Compound: Cr4AgBiO14
Radiation: Cu Kα (weighted mean of Kα1 and Kα2)
Structure: a structure optimized by DFT (GGA+U)
Peak positions follow from Bragg's law for the DFT cell and can differ from measured ones.

Principal peaks in the range 10° ≤ 2θ ≤ 90°, by angle:
d 6.106, I 65; d 4.318, I 38; d 3.501, I 99; d 3.431, I 100; d 2.991, I 41; d 2.731, I 52; d 2.248, I 36; d 1.931, I 31

Structural model:
```
Cr4AgBiO14
1.0
-4.3176 4.3176 4.1474
4.3176 -4.3176 4.1474
4.3176 4.3176 -4.1474
Cr Ag Bi O
4 1 1 14
direct
0.1201 0.6621 0.7822 Cr
0.3379 0.1201 0.4580 Cr
0.6621 0.8799 0.5420 Cr
0.8799 0.3379 0.2178 Cr
0.7178 0.7178 0.0000 Ag
0.2982 0.2982 0.0000 Bi
0.0303 0.5303 0.5000 O
0.0547 0.3788 0.1192 O
0.0856 0.9065 0.3165 O
0.2596 0.9355 0.8808 O
0.2855 0.5857 0.9036 O
0.3788 0.2596 0.3241 O
0.3819 0.2855 0.6998 O
0.5303 0.0303 0.5000 O
0.5857 0.6821 0.3002 O
0.5900 0.7691 0.6835 O
0.6820 0.3819 0.0964 O
0.7691 0.0856 0.1791 O
0.9065 0.5900 0.8209 O
0.9355 0.0547 0.6759 O
```

---

> Number 5 is which compound?

Ba2CoAg2Se2O2